Diffraction record for PmZnPtO4. The XRD peak list is computed, not measured: it uses a structure optimized by DFT (GGA-PBE) and Cu Kα, 1.54184 Å.
Peak positions follow from Bragg's law for the DFT cell and can differ from measured ones.

Main lines, low angle first (2θ from 15° to 90°):
two_theta	I_rel
15.91	88
17.15	23
30.07	62
32.13	100
33.33	53
34.71	51
37.35	45
48.20	27
57.13	44
62.52	24

Structure:
Lattice parameters (Å, degrees): 6.510 6.510 6.510 120.78 112.19 96.35
Fractional coordinates of all 14 atoms:
Pm 0.000 0.000 0.000
Pm 0.500 0.000 0.500
Zn 0.341 0.591 0.750
Zn 0.659 0.409 0.250
Pt 0.000 0.000 0.500
Pt 0.000 0.500 0.000
O 0.162 0.729 0.433
O 0.204 0.271 0.933
O 0.290 0.264 0.474
O 0.290 0.817 0.026
O 0.710 0.183 0.974
O 0.710 0.736 0.526
O 0.796 0.729 0.067
O 0.838 0.271 0.567